Structure and theoretical powder diffractogram of Nb3CuO8 (a cell relaxed with PBE; copper Kα).

The 8 most intense peaks (2θ = 10–90°), sorted by position:
d/Å	intensity	(hkl)
3.752	24	2 0 -2
3.717	25	0 0 4
3.022	100	2 1 -2
3.004	97	0 1 4
2.558	29	2 1 2
2.551	25	0 2 0
1.751	32	2 2 -6
1.486	24	4 2 0

a b c (Å): 7.662 5.101 15.563
angles (deg): 90.00 107.17 90.00
Fractional coordinates of all 48 atoms:
1 Nb 0.008 0.235 0.167
2 Nb 0.008 0.265 0.667
3 Nb 0.251 0.746 0.076
4 Nb 0.251 0.754 0.576
5 Nb 0.483 0.740 0.335
6 Nb 0.483 0.760 0.835
7 Nb 0.517 0.240 0.165
8 Nb 0.517 0.260 0.665
9 Nb 0.749 0.246 0.424
10 Nb 0.749 0.254 0.924
11 Nb 0.992 0.735 0.333
12 Nb 0.992 0.765 0.833
13 Cu 0.266 0.242 0.422
14 Cu 0.266 0.258 0.922
15 Cu 0.734 0.742 0.078
16 Cu 0.734 0.758 0.578
17 O 0.042 0.575 0.600
18 O 0.042 0.925 0.100
19 O 0.084 0.069 0.281
20 O 0.084 0.431 0.781
21 O 0.152 0.600 0.961
22 O 0.152 0.900 0.461
23 O 0.220 0.080 0.655
24 O 0.220 0.420 0.155
25 O 0.266 0.598 0.347
26 O 0.266 0.902 0.847
27 O 0.352 0.072 0.048
28 O 0.352 0.428 0.548
29 O 0.416 0.585 0.716
30 O 0.416 0.915 0.216
31 O 0.497 0.067 0.401
32 O 0.497 0.433 0.901
33 O 0.503 0.567 0.099
34 O 0.503 0.933 0.599
35 O 0.584 0.085 0.784
36 O 0.584 0.415 0.284
37 O 0.648 0.572 0.452
38 O 0.648 0.928 0.952
39 O 0.734 0.098 0.153
40 O 0.734 0.402 0.653
41 O 0.780 0.580 0.845
42 O 0.780 0.920 0.345
43 O 0.848 0.100 0.539
44 O 0.848 0.400 0.039
45 O 0.916 0.569 0.219
46 O 0.916 0.931 0.719
47 O 0.958 0.075 0.900
48 O 0.958 0.425 0.400